Simulated X-ray diffraction stick pattern of Ba3Ta2CdO9 for copper Kα, from a GGA-PBE-relaxed structure.
No peak broadening, texture or thermal motion is included.

Most intense lines, 10° ≤ 2θ ≤ 90°, low angle first:
2theta  I (rel.)
29.8  100
30.0  97
42.8  56
52.8  20
53.2  40
53.3  20
61.9  18
62.4  17
70.4  18
70.7  18

Atomic structure:
abc: 5.9521 5.9521 7.3648
angles: 90.00 90.00 120.00
Sites, in units of the cell vectors:
Ba 0.0000 0.0000 0.0000
Ba 0.3333 0.6667 0.6650
Ba 0.6667 0.3333 0.3350
Ta 0.3333 0.6667 0.1677
Ta 0.6667 0.3333 0.8323
Cd 0.0000 0.0000 0.5000
O 0.0000 0.5000 0.0000
O 0.1769 0.3538 0.3124
O 0.1769 0.8231 0.3124
O 0.3538 0.1769 0.6876
O 0.5000 0.0000 0.0000
O 0.5000 0.5000 0.0000
O 0.6462 0.8231 0.3124
O 0.8231 0.1769 0.6876
O 0.8231 0.6462 0.6876

Simulated X-ray diffraction stick pattern of LiRuPbO3 for copper Kα, from a GGA-PBE-relaxed structure.
No peak broadening, texture or thermal motion is included.

Most intense lines, 10° ≤ 2θ ≤ 90°, low angle first:
2theta  I (rel.)
28.3  100
32.7  37
33.0  27
36.8  13
46.9  20
47.2  27
55.7  32
56.2  15
58.6  20
76.1  13

Atomic structure:
abc: 3.8732 3.8732 5.4208
angles: 90.00 90.00 90.00
Sites, in units of the cell vectors:
Li 0.0000 0.0000 0.0000
Ru 0.5000 0.5000 0.0000
Pb 0.0000 0.0000 0.5000
O 0.0000 0.5000 0.0000
O 0.5000 0.0000 0.0000
O 0.5000 0.5000 0.5000

Simulated X-ray diffraction stick pattern of Ca7VN6 for copper Kα, from a GGA-PBE-relaxed structure.
No peak broadening, texture or thermal motion is included.

Most intense lines, 10° ≤ 2θ ≤ 90°, low angle first:
2theta  I (rel.)
30.2  21
31.5  18
32.0  100
32.1  36
35.5  43
35.9  35
36.1  20
38.0  19
43.0  20
45.6  18

Atomic structure:
abc: 11.1351 6.3276 12.9272
angles: 90.00 90.00 90.00
Sites, in units of the cell vectors:
Ca 0.0000 0.0487 0.2500
Ca 0.0000 0.9513 0.7500
Ca 0.0358 0.2291 0.5193
Ca 0.0358 0.7709 0.0193
Ca 0.2133 0.3901 0.1196
Ca 0.2133 0.6099 0.6196
Ca 0.2315 0.3413 0.8715
Ca 0.2315 0.6587 0.3715
Ca 0.2685 0.1587 0.3715
Ca 0.2685 0.8413 0.8715
Ca 0.2867 0.1099 0.6196
Ca 0.2867 0.8901 0.1196
Ca 0.4642 0.2709 0.0193
Ca 0.4642 0.7291 0.5193
Ca 0.5000 0.4513 0.7500
Ca 0.5000 0.5487 0.2500
Ca 0.5358 0.2709 0.4807
Ca 0.5358 0.7291 0.9807
Ca 0.7133 0.1099 0.8804
Ca 0.7133 0.8901 0.3804
Ca 0.7315 0.1587 0.1285
Ca 0.7315 0.8413 0.6285
Ca 0.7685 0.3413 0.6285
Ca 0.7685 0.6587 0.1285
Ca 0.7867 0.3901 0.3804
Ca 0.7867 0.6099 0.8804
Ca 0.9642 0.2291 0.9807
Ca 0.9642 0.7709 0.4807
V 0.0000 0.4501 0.7500
V 0.0000 0.5499 0.2500
V 0.5000 0.0499 0.2500
V 0.5000 0.9501 0.7500
N 0.0640 0.3816 0.3517
N 0.0640 0.6184 0.8517
N 0.1216 0.2772 0.7003
N 0.1216 0.7228 0.2003
N 0.1630 0.0878 0.9956
N 0.1630 0.9122 0.4956
N 0.3370 0.4122 0.4956
N 0.3370 0.5878 0.9956
N 0.3784 0.2228 0.2003
N 0.3784 0.7772 0.7003
N 0.4360 0.1184 0.8517
N 0.4360 0.8816 0.3517
N 0.5640 0.1184 0.6483
N 0.5640 0.8816 0.1483
N 0.6216 0.2228 0.2997
N 0.6216 0.7772 0.7997
N 0.6630 0.4122 0.0044
N 0.6630 0.5878 0.5044
N 0.8370 0.0878 0.5044
N 0.8370 0.9122 0.0044
N 0.8784 0.2772 0.7997
N 0.8784 0.7228 0.2997
N 0.9360 0.3816 0.1483
N 0.9360 0.6184 0.6483

Simulated X-ray diffraction stick pattern of KMg3O4 for copper Kα, from a GGA-PBE-relaxed structure.
No peak broadening, texture or thermal motion is included.

Most intense lines, 10° ≤ 2θ ≤ 90°, low angle first:
2theta  I (rel.)
19.6  5
27.8  4
34.2  16
39.7  100
44.6  2
49.2  1
57.4  57
68.5  9
72.1  17
85.6  8

Atomic structure:
abc: 4.5402 4.5402 4.5402
angles: 90.00 90.00 90.00
Sites, in units of the cell vectors:
K 0.0000 0.0000 0.0000
Mg 0.0000 0.5000 0.5000
Mg 0.5000 0.0000 0.5000
Mg 0.5000 0.5000 0.0000
O 0.0000 0.0000 0.5000
O 0.0000 0.5000 0.0000
O 0.5000 0.0000 0.0000
O 0.5000 0.5000 0.5000

Simulated X-ray diffraction stick pattern of SiSn3 for copper Kα, from a GGA-PBE-relaxed structure.
No peak broadening, texture or thermal motion is included.

Most intense lines, 10° ≤ 2θ ≤ 90°, low angle first:
2theta  I (rel.)
19.1  16
27.1  14
33.4  100
38.7  50
43.5  8
47.9  6
55.9  35
66.7  43
70.1  12
83.1  6

Atomic structure:
abc: 4.6496 4.6496 4.6496
angles: 90.00 90.00 90.00
Sites, in units of the cell vectors:
Si 0.0000 0.0000 0.0000
Sn 0.0000 0.5000 0.5000
Sn 0.5000 0.0000 0.5000
Sn 0.5000 0.5000 0.0000

Simulated X-ray diffraction stick pattern of NiAg2Sn3S8 for copper Kα, from a GGA-PBE-relaxed structure.
No peak broadening, texture or thermal motion is included.

Most intense lines, 10° ≤ 2θ ≤ 90°, low angle first:
2theta  I (rel.)
14.6  24
23.2  22
23.8  41
27.4  100
27.6  66
28.0  62
33.5  61
43.9  55
47.5  75
48.6  58

Atomic structure:
abc: 7.4935 7.4935 7.4935
angles: 61.43 61.43 61.43
Sites, in units of the cell vectors:
Ni 0.0000 0.0000 0.0000
Ag 0.3938 0.3938 0.3938
Ag 0.6062 0.6062 0.6062
Sn 0.0000 0.0000 0.5000
Sn 0.0000 0.5000 0.0000
Sn 0.5000 0.0000 0.0000
S 0.2140 0.7712 0.7712
S 0.2288 0.2288 0.7860
S 0.2288 0.7860 0.2288
S 0.2472 0.2472 0.2472
S 0.7528 0.7528 0.7528
S 0.7712 0.2140 0.7712
S 0.7712 0.7712 0.2140
S 0.7860 0.2288 0.2288